Record 1
Diffraction record for Y2Ho2CI2Br3. The PXRD pattern is computed, not measured: it uses a cell relaxed with PBE and Cu Kα, 1.54184 Å.

Top 12 peaks for 2θ = 10–80°, low angle first:
(hkl), Position (°2θ), d/Å, I (rel.)
0 0 1, 11.05, 8.005, 55
4 0 1, 24.52, 3.630, 14
3 1 -1, 28.33, 3.150, 12
6 0 0, 29.50, 3.028, 37
3 1 1, 30.78, 2.905, 17
1 1 -2, 31.80, 2.814, 100
5 1 0, 33.84, 2.649, 23
5 1 -1, 33.94, 2.641, 21
5 1 2, 43.84, 2.065, 23
7 1 -2, 44.02, 2.057, 20
2 0 -4, 44.20, 2.049, 16
0 2 0, 46.96, 1.935, 18

Lattice parameters (Å, degrees): 18.6028 3.8699 8.1964 90.00 102.40 90.00
Space group C2/m (No. 12)
Asymmetric unit:
Y1 0.0006 0.0000 0.2999 (multiplicity 4)
Ho1 0.1313 0.5000 0.5700 (multiplicity 4)
C1 0.0000 0.5000 0.5000 (multiplicity 2)
I1 0.1705 0.0000 0.3137 (multiplicity 4)
Br1 0.0000 0.5000 0.0000 (multiplicity 2)
Br2 0.1579 0.0000 0.8321 (multiplicity 4)

Record 2
Diffraction record for Er5Lu3S. The PXRD pattern is computed, not measured: it uses a cell relaxed with PBE and Cu Kα, 1.54184 Å.

Top 12 peaks for 2θ = 10–80°, low angle first:
(hkl), Position (°2θ), d/Å, I (rel.)
2 1 0, 30.77, 2.906, 75
1 1 1, 31.60, 2.832, 100
2 0 1, 33.73, 2.657, 56
3 0 0, 35.02, 2.563, 39
2 1 1, 39.53, 2.280, 23
3 1 0, 42.39, 2.132, 12
3 1 1, 49.41, 1.845, 17
0 0 2, 49.58, 1.839, 15
3 2 1, 58.00, 1.590, 29
2 1 2, 59.50, 1.554, 24
4 1 1, 60.68, 1.526, 18
3 0 2, 62.14, 1.494, 15

Lattice parameters (Å, degrees): 8.8770 8.8770 3.6771 90.00 90.00 120.00
Space group P-62m (No. 189)
Asymmetric unit:
Er1 0.0000 0.2461 0.0000 (multiplicity 3)
Er2 0.3333 0.6667 0.0000 (multiplicity 2)
Lu1 0.0000 0.6008 0.5000 (multiplicity 3)
S1 0.0000 0.0000 0.5000 (multiplicity 1)

Record 3
Diffraction record for TmP3O9. The PXRD pattern is computed, not measured: it uses a cell relaxed with PBE and Cu Kα, 1.54184 Å.

Top 12 peaks for 2θ = 10–80°, low angle first:
(hkl), Position (°2θ), d/Å, I (rel.)
1 1 -1, 15.90, 5.576, 46
2 0 -2, 18.24, 4.864, 28
1 1 1, 21.69, 4.098, 100
3 1 -1, 23.24, 3.827, 26
3 1 -2, 24.57, 3.624, 15
4 0 -2, 25.62, 3.477, 18
3 1 -3, 30.54, 2.927, 25
2 2 0, 30.73, 2.909, 22
2 0 2, 34.95, 2.567, 21
4 0 -4, 36.96, 2.432, 15
2 2 -4, 47.21, 1.925, 14
6 2 -4, 50.37, 1.812, 14

Lattice parameters (Å, degrees): 14.0513 6.8037 9.7986 90.00 126.99 90.00
Space group C2/c (No. 15)
Asymmetric unit:
Tm1 0.2500 0.2500 0.0000 (multiplicity 4)
P1 0.0000 0.0685 0.2500 (multiplicity 4)
P2 0.1010 0.3962 0.1714 (multiplicity 8)
O1 0.0000 0.5000 0.0000 (multiplicity 4)
O2 0.0261 0.2046 0.1454 (multiplicity 8)
O3 0.1087 0.0427 0.8820 (multiplicity 8)
O4 0.1309 0.4862 0.8215 (multiplicity 8)
O5 0.2018 0.3382 0.1673 (multiplicity 8)

Record 4
Diffraction record for SrIrNO. The PXRD pattern is computed, not measured: it uses a cell relaxed with PBE and Cu Kα, 1.54184 Å.

Top 12 peaks for 2θ = 10–80°, low angle first:
(hkl), Position (°2θ), d/Å, I (rel.)
0 1 0, 11.97, 7.394, 91
1 1 0, 18.20, 4.874, 32
1 2 0, 27.78, 3.211, 97
2 0 1, 32.79, 2.731, 97
1 2 1, 33.01, 2.714, 100
2 1 1, 35.02, 2.562, 29
0 0 2, 35.37, 2.538, 60
1 2 2, 45.56, 1.991, 49
3 1 1, 47.36, 1.920, 22
3 2 1, 52.25, 1.751, 26
2 4 1, 60.48, 1.531, 29
2 0 3, 61.87, 1.500, 18

Lattice parameters (Å, degrees): 6.4807 7.3935 5.0753 90.00 90.00 90.00
Space group Pca2_1 (No. 29)
Asymmetric unit:
Sr1 0.0694 0.1668 0.0000 (multiplicity 4)
Ir1 0.1454 0.6191 0.0196 (multiplicity 4)
N1 0.1187 0.5061 0.6709 (multiplicity 4)
O1 0.0496 0.1466 0.4853 (multiplicity 4)

Record 5
Diffraction record for Dy3AlGa2Ge2Pd. The PXRD pattern is computed, not measured: it uses a cell relaxed with PBE and Cu Kα, 1.54184 Å.

Top 12 peaks for 2θ = 10–80°, low angle first:
(hkl), Position (°2θ), d/Å, I (rel.)
1 0 0, 20.85, 4.260, 27
0 3 1, 25.30, 3.521, 23
0 2 2, 29.64, 3.014, 34
1 3 1, 33.01, 2.714, 91
1 0 2, 33.36, 2.686, 69
1 4 0, 36.09, 2.489, 79
1 2 2, 36.52, 2.461, 100
0 4 2, 39.25, 2.295, 26
2 0 0, 42.44, 2.130, 53
0 3 3, 45.12, 2.009, 26
1 5 3, 59.13, 1.563, 34
1 2 4, 59.58, 1.552, 26

Lattice parameters (Å, degrees): 4.2602 12.2678 6.9216 90.00 90.00 90.00
Space group Amm2 (No. 38)
Asymmetric unit:
Dy1 0.0000 0.0000 0.0000 (multiplicity 2)
Dy2 0.0000 0.2078 0.6161 (multiplicity 4)
Al1 0.5000 0.0000 0.6447 (multiplicity 2)
Ga1 0.5000 0.1189 0.2961 (multiplicity 4)
Ge1 0.5000 0.1639 0.9091 (multiplicity 4)
Pd1 0.0000 0.0000 0.4200 (multiplicity 2)